No. 1
Simulated powder XRD pattern
Compound: ZrCuP2O12
Radiation: Cu Kα
Structure: a structure optimized by DFT (PBE)
Lines closer than 0.1° are merged.

Crystal structure
Cell: 5.474 5.483 9.831 Å, 96.44 98.79 119.92°
Element x y z (fractional)
Zr  0.000  0.000  0.000
Cu  0.500  0.000  0.500
P  0.423  0.751  0.178
P  0.577  0.249  0.822
O  0.168  0.275  0.447
O  0.229  0.872  0.136
O  0.250  0.131  0.386
O  0.258  0.424  0.119
O  0.297  0.094  0.874
O  0.490  0.200  0.658
O  0.510  0.800  0.342
O  0.703  0.906  0.126
O  0.742  0.576  0.881
O  0.750  0.869  0.614
O  0.771  0.128  0.864
O  0.832  0.725  0.553

Top 12 peaks for 5 to 70 degrees two-theta, by intensity:
2θ (°), intensity
19.3, 100
19.1, 85
21.2, 63
32.7, 40
18.7, 40
30.2, 39
29.8, 36
33.2, 34
9.3, 22
47.3, 17
34.5, 17
48.0, 15

No. 2
Simulated powder XRD pattern
Compound: Cs4K2S
Radiation: Cu Kα
Structure: a structure optimized by DFT (PBE)
Lines closer than 0.1° are merged.

Crystal structure
Cell: 13.628 13.628 13.628 Å, 150.91 150.91 41.61°
Element x y z (fractional)
Cs  0.000  0.500  0.500
Cs  0.129  0.129  0.000
Cs  0.500  0.000  0.500
Cs  0.871  0.871  0.000
K  0.313  0.313  0.000
K  0.687  0.687  0.000
S  0.000  0.000  0.000

Top 12 peaks for 5 to 70 degrees two-theta, by intensity:
2θ (°), intensity
23.1, 100
6.9, 74
26.0, 64
19.6, 56
13.4, 49
44.2, 35
33.6, 25
37.1, 24
38.6, 24
20.9, 22
27.8, 21
21.7, 20

No. 3
Simulated powder XRD pattern
Compound: B12W
Radiation: Cu Kα
Structure: a structure optimized by DFT (PBE)
Lines closer than 0.1° are merged.

Crystal structure
Cell: 5.187 5.187 5.187 Å, 60.00 60.00 60.00°
Element x y z (fractional)
B  0.000  0.000  0.340
B  0.000  0.000  0.660
B  0.000  0.340  0.000
B  0.000  0.340  0.660
B  0.000  0.660  0.000
B  0.000  0.660  0.340
B  0.340  0.000  0.000
B  0.340  0.000  0.660
B  0.340  0.660  0.000
B  0.660  0.000  0.000
B  0.660  0.000  0.340
B  0.660  0.340  0.000
W  0.500  0.500  0.500

Top 10 peaks for 5 to 70 degrees two-theta, by intensity:
2θ (°), intensity
21.0, 100
40.8, 96
24.3, 72
34.6, 44
54.5, 33
42.7, 29
62.0, 28
56.1, 24
66.2, 17
49.7, 11

No. 4
Simulated powder XRD pattern
Compound: Cs2K7Hg
Radiation: Cu Kα
Structure: a structure optimized by DFT (PBE)
Lines closer than 0.1° are merged.

Crystal structure
Cell: 12.295 12.295 13.691 Å, 120.12 120.12 59.45°
Element x y z (fractional)
Cs  0.148  0.161  0.113
Cs  0.161  0.148  0.613
Cs  0.839  0.852  0.387
Cs  0.852  0.839  0.887
K  0.153  0.847  0.750
K  0.158  0.595  0.192
K  0.200  0.440  0.502
K  0.296  0.553  0.914
K  0.405  0.842  0.308
K  0.440  0.200  0.002
K  0.447  0.704  0.586
K  0.553  0.296  0.414
K  0.560  0.800  0.998
K  0.595  0.158  0.692
K  0.704  0.447  0.086
K  0.800  0.560  0.498
K  0.842  0.405  0.808
K  0.847  0.153  0.250
Hg  0.484  0.516  0.750
Hg  0.516  0.484  0.250

Top 12 peaks for 5 to 70 degrees two-theta, by intensity:
2θ (°), intensity
15.4, 100
16.9, 88
22.5, 81
26.8, 70
14.5, 61
25.8, 59
27.6, 49
23.4, 44
17.1, 37
8.9, 35
28.0, 31
16.0, 28

No. 5
Simulated powder XRD pattern
Compound: YMg2Mo
Radiation: Cu Kα
Structure: a structure optimized by DFT (PBE)
Lines closer than 0.1° are merged.

Crystal structure
Cell: 3.123 3.818 7.477 Å, 90.00 90.00 90.00°
Element x y z (fractional)
Y  0.000  0.000  0.000
Mg  0.000  0.000  0.564
Mg  0.500  0.500  0.328
Mo  0.500  0.500  0.763

Top 12 peaks for 5 to 70 degrees two-theta, by intensity:
2θ (°), intensity
11.8, 100
33.5, 77
37.2, 65
37.5, 56
62.1, 28
26.2, 27
39.2, 21
69.8, 19
31.0, 17
62.8, 17
47.6, 16
43.4, 14

No. 6
Simulated powder XRD pattern
Compound: YErPS
Radiation: Cu Kα
Structure: a structure optimized by DFT (PBE)
Lines closer than 0.1° are merged.

Crystal structure
Cell: 6.854 6.854 6.854 Å, 33.43 33.43 33.43°
Element x y z (fractional)
Y  0.000  0.000  0.000
Er  0.506  0.506  0.506
P  0.252  0.252  0.252
S  0.754  0.754  0.754

Top 12 peaks for 5 to 70 degrees two-theta, by intensity:
2θ (°), intensity
32.1, 100
27.7, 52
46.0, 36
45.9, 35
54.5, 25
57.2, 18
27.6, 17
13.7, 13
67.1, 11
26.5, 8
54.4, 8
57.0, 6

No. 7
Simulated powder XRD pattern
Compound: La3PrEr7
Radiation: Cu Kα
Structure: a structure optimized by DFT (PBE)
Lines closer than 0.1° are merged.

Crystal structure
Cell: 6.565 6.703 8.664 Å, 99.44 98.67 94.94°
Element x y z (fractional)
La  0.000  0.000  0.000
La  0.201  0.560  0.160
La  0.799  0.440  0.840
Pr  0.500  0.000  0.500
Er  0.013  0.766  0.582
Er  0.277  0.278  0.785
Er  0.440  0.794  0.854
Er  0.500  0.500  0.500
Er  0.560  0.206  0.146
Er  0.723  0.722  0.215
Er  0.987  0.234  0.418

Top 12 peaks for 5 to 70 degrees two-theta, by intensity:
2θ (°), intensity
31.3, 100
31.9, 95
32.0, 93
32.8, 40
32.3, 36
34.6, 22
32.6, 20
57.3, 19
31.7, 17
45.9, 16
53.0, 13
27.1, 13

No. 8
Simulated powder XRD pattern
Compound: Sr2AlH7
Radiation: Cu Kα
Structure: a structure optimized by DFT (PBE)
Lines closer than 0.1° are merged.

Crystal structure
Cell: 8.285 8.285 7.927 Å, 110.25 110.25 71.42°
Element x y z (fractional)
Sr  0.077  0.736  0.979
Sr  0.264  0.923  0.521
Sr  0.290  0.433  0.524
Sr  0.433  0.290  0.024
Sr  0.567  0.710  0.976
Sr  0.710  0.567  0.476
Sr  0.736  0.077  0.479
Sr  0.923  0.264  0.021
Al  0.026  0.320  0.693
Al  0.320  0.026  0.193
Al  0.680  0.974  0.807
Al  0.974  0.680  0.307
H  0.010  0.525  0.668
H  0.034  0.114  0.708
H  0.081  0.742  0.544
H  0.109  0.396  0.930
H  0.114  0.034  0.208
H  0.194  0.614  0.274
H  0.239  0.242  0.670
H  0.242  0.239  0.170
H  0.258  0.919  0.956
H  0.340  0.542  0.873
H  0.386  0.806  0.226
H  0.396  0.109  0.430
H  0.458  0.660  0.627
H  0.475  0.990  0.832
H  0.525  0.010  0.168
H  0.542  0.340  0.373
H  0.604  0.891  0.570
H  0.614  0.194  0.774
H  0.660  0.458  0.127
H  0.742  0.081  0.044
H  0.758  0.761  0.830
H  0.761  0.758  0.330
H  0.806  0.386  0.726
H  0.886  0.966  0.792
H  0.891  0.604  0.070
H  0.919  0.258  0.456
H  0.966  0.886  0.292
H  0.990  0.475  0.332

Top 12 peaks for 5 to 70 degrees two-theta, by intensity:
2θ (°), intensity
29.4, 100
23.5, 84
29.3, 78
24.8, 67
26.8, 42
28.6, 41
38.9, 34
50.2, 31
36.1, 22
30.0, 21
34.8, 18
31.0, 17

No. 9
Simulated powder XRD pattern
Compound: K5Rb2AgHg2
Radiation: Cu Kα
Structure: a structure optimized by DFT (PBE)
Lines closer than 0.1° are merged.

Crystal structure
Cell: 14.791 14.791 4.621 Å, 90.00 90.00 90.00°
Element x y z (fractional)
K  0.000  0.500  0.000
K  0.059  0.188  0.000
K  0.188  0.941  0.000
K  0.312  0.441  0.000
K  0.441  0.688  0.000
K  0.500  0.000  0.000
K  0.559  0.312  0.000
K  0.688  0.559  0.000
K  0.812  0.059  0.000
K  0.941  0.812  0.000
Rb  0.177  0.677  0.500
Rb  0.323  0.177  0.500
Rb  0.677  0.823  0.500
Rb  0.823  0.323  0.500
Ag  0.000  0.000  0.500
Ag  0.500  0.500  0.500
Hg  0.133  0.367  0.500
Hg  0.367  0.867  0.500
Hg  0.633  0.133  0.500
Hg  0.867  0.633  0.500

Top 12 peaks for 5 to 70 degrees two-theta, by intensity:
2θ (°), intensity
27.1, 100
19.0, 42
13.4, 39
29.1, 37
19.2, 25
25.5, 21
31.0, 20
42.0, 18
34.3, 16
39.6, 16
39.0, 15
32.6, 13

No. 10
Simulated powder XRD pattern
Compound: BeTl2InO4
Radiation: Cu Kα
Structure: a structure optimized by DFT (PBE)
Lines closer than 0.1° are merged.

Crystal structure
Cell: 10.960 9.769 6.277 Å, 83.11 62.24 34.65°
Element x y z (fractional)
Be  0.125  0.125  0.125
Be  0.875  0.875  0.875
Tl  0.186  0.186  0.564
Tl  0.436  0.436  0.814
Tl  0.564  0.564  0.186
Tl  0.814  0.814  0.436
In  0.375  0.375  0.375
In  0.625  0.625  0.625
O  0.012  0.808  0.538
O  0.143  0.538  0.808
O  0.192  0.988  0.857
O  0.462  0.857  0.988
O  0.538  0.143  0.012
O  0.808  0.012  0.143
O  0.857  0.462  0.192
O  0.988  0.192  0.462

Top 12 peaks for 5 to 70 degrees two-theta, by intensity:
2θ (°), intensity
30.0, 100
18.7, 86
37.6, 82
36.7, 76
32.7, 64
23.1, 57
31.6, 48
29.2, 43
57.1, 40
32.2, 34
18.3, 32
50.0, 31

No. 11
Simulated powder XRD pattern
Compound: Zn5Fe2
Radiation: Cu Kα
Structure: a structure optimized by DFT (PBE)
Lines closer than 0.1° are merged.

Crystal structure
Cell: 8.712 8.712 2.573 Å, 90.00 90.00 90.00°
Element x y z (fractional)
Zn  0.000  0.500  0.000
Zn  0.061  0.209  0.000
Zn  0.209  0.939  0.000
Zn  0.291  0.439  0.000
Zn  0.439  0.709  0.000
Zn  0.500  0.000  0.000
Zn  0.561  0.291  0.000
Zn  0.709  0.561  0.000
Zn  0.791  0.061  0.000
Zn  0.939  0.791  0.000
Fe  0.182  0.682  0.500
Fe  0.318  0.182  0.500
Fe  0.682  0.818  0.500
Fe  0.818  0.318  0.500

Top 12 peaks for 5 to 70 degrees two-theta, by intensity:
2θ (°), intensity
42.8, 100
48.4, 63
42.1, 56
44.1, 38
51.9, 34
34.9, 31
32.5, 27
46.0, 24
40.7, 22
37.2, 22
46.6, 16
55.3, 15